No. 1
# TiFe3Co2P6O24
Computed powder diffraction line list, CuKα. Input: a crystal structure in the Materials Project, relaxed with PBE+U.

Atomic structure:
```
TiFe3Co2P6O24
1.0
4.322 2.495 6.818
-4.322 2.495 6.818
0.000 -4.990 6.818
Ti Fe Co P O
1 3 2 6 24
direct
0.000 0.000 0.000
0.290 0.290 0.290
0.500 0.500 0.500
0.789 0.789 0.789
0.147 0.147 0.147
0.645 0.645 0.645
0.098 0.691 0.395
0.191 0.597 0.893
0.395 0.098 0.691
0.597 0.893 0.191
0.691 0.395 0.098
0.893 0.191 0.597
0.035 0.640 0.823
0.052 0.205 0.399
0.082 0.892 0.235
0.139 0.535 0.323
0.139 0.760 0.965
0.205 0.399 0.052
0.235 0.082 0.892
0.255 0.652 0.461
0.323 0.139 0.535
0.390 0.589 0.738
0.399 0.052 0.205
0.461 0.255 0.652
0.535 0.323 0.139
0.551 0.897 0.706
0.589 0.738 0.390
0.640 0.823 0.035
0.652 0.461 0.255
0.706 0.551 0.897
0.738 0.390 0.589
0.760 0.965 0.139
0.823 0.035 0.640
0.892 0.235 0.082
0.897 0.706 0.551
0.965 0.139 0.760
```

Main lines, by intensity (2θ = 10–90°):
2θ = 24.4°, I 100; 2θ = 20.6°, I 87; 2θ = 33.5°, I 73; 2θ = 36.0°, I 40; 2θ = 48.0°, I 30; 2θ = 50.0°, I 28; 2θ = 56.3°, I 24; 2θ = 63.1°, I 22; 2θ = 25.3°, I 17; 2θ = 57.2°, I 15

***

No. 2
# V2Fe3CoP6O24
Computed powder diffraction line list, CuKα. Input: a crystal structure in the Materials Project, relaxed with PBE+U.

Atomic structure:
```
V2Fe3CoP6O24
1.0
4.331 2.500 6.765
-4.331 2.500 6.765
0.000 -5.000 6.765
V Fe Co P O
2 3 1 6 24
direct
0.000 0.000 0.000
0.498 0.498 0.498
0.351 0.351 0.351
0.645 0.645 0.645
0.852 0.852 0.852
0.146 0.146 0.146
0.046 0.749 0.451
0.248 0.545 0.951
0.451 0.046 0.749
0.545 0.951 0.248
0.749 0.451 0.046
0.951 0.248 0.545
0.005 0.820 0.606
0.061 0.904 0.249
0.093 0.747 0.937
0.106 0.320 0.503
0.175 0.390 0.990
0.248 0.593 0.437
0.249 0.061 0.904
0.320 0.503 0.106
0.390 0.990 0.175
0.403 0.558 0.749
0.437 0.248 0.593
0.491 0.891 0.677
0.503 0.106 0.320
0.558 0.749 0.403
0.593 0.437 0.248
0.606 0.005 0.820
0.677 0.491 0.891
0.747 0.937 0.093
0.749 0.403 0.558
0.820 0.606 0.005
0.891 0.677 0.491
0.904 0.249 0.061
0.937 0.093 0.747
0.990 0.175 0.390
```

Main lines, by intensity (2θ = 10–90°):
2θ = 24.4°, I 100; 2θ = 20.5°, I 80; 2θ = 33.6°, I 71; 2θ = 35.9°, I 40; 2θ = 50.0°, I 28; 2θ = 48.1°, I 24; 2θ = 56.2°, I 23; 2θ = 63.1°, I 23; 2θ = 31.9°, I 15; 2θ = 21.1°, I 13